The following is a computed XRD peak list of TbPm7Dy3. It was derived from a DFT-relaxed cell (GGA-PBE, Alexandria), using Cu Kα (λ = 1.5418 Å).

Main lines, sorted by position (10° ≤ 2θ ≤ 90°):
(0 1 2), 2θ = 24.7°, rel. 8; (2 1 0), 2θ = 31.3°, rel. 100; (0 2 0), 2θ = 31.7°, rel. 57; (0 1 3), 2θ = 32.7°, rel. 36; (2 2 -3), 2θ = 45.4°, rel. 17; (4 0 -2), 2θ = 51.7°, rel. 8; (2 3 0), 2θ = 56.2°, rel. 19; (4 2 -2), 2θ = 61.9°, rel. 9

Structural model:
```
data_TbPm7Dy3
_space_group_name_H-M_alt 'P 1 2/m 1'
_space_group_IT_number 10
_space_group_name_Hall '-P 2y'
_cell_length_a 7.072
_cell_length_b 5.646
_cell_length_c 10.033
_cell_angle_alpha 90.00
_cell_angle_beta 110.53
_cell_angle_gamma 90.00
loop_
_atom_site_label
_atom_site_type_symbol
_atom_site_fract_x
_atom_site_fract_y
_atom_site_fract_z
Tb1 Tb 0.000 0.000 0.000
Pm1 Pm 0.000 0.000 0.500
Pm2 Pm 0.146 0.500 0.792
Pm3 Pm 0.320 0.500 0.140
Pm4 Pm 0.416 0.000 0.329
Dy1 Dy 0.279 0.500 0.500
Dy2 Dy 0.500 0.000 0.000
```

---

The following is a computed XRD peak list of Tb4Pm3Dy2. It was derived from a DFT-relaxed cell (GGA-PBE, Alexandria), using Cu Kα (λ = 1.5418 Å).

Main lines, sorted by position (10° ≤ 2θ ≤ 90°):
(3 1 1), 2θ = 30.5°, rel. 100; (0 2 0), 2θ = 35.4°, rel. 51; (6 0 2), 2θ = 50.9°, rel. 36; (9 1 0), 2θ = 60.6°, rel. 36; (3 1 4), 2θ = 60.6°, rel. 7; (6 2 2), 2θ = 63.6°, rel. 12; (9 3 0), 2θ = 83.0°, rel. 15; (12 0 1), 2θ = 85.6°, rel. 11

Structural model:
```
data_Tb4Pm3Dy2
_space_group_name_H-M_alt 'C 1 2/m 1'
_space_group_IT_number 12
_space_group_name_Hall '-C 2y'
_cell_length_a 15.221
_cell_length_b 5.072
_cell_length_c 8.009
_cell_angle_alpha 90.00
_cell_angle_beta 108.50
_cell_angle_gamma 90.00
loop_
_atom_site_label
_atom_site_type_symbol
_atom_site_fract_x
_atom_site_fract_y
_atom_site_fract_z
Tb1 Tb 0.056 0.000 0.333
Tb2 Tb 0.222 0.500 0.332
Pm1 Pm 0.000 0.500 0.000
Pm2 Pm 0.111 0.500 0.666
Dy1 Dy 0.167 0.000 0.001
```

---

The following is a computed XRD peak list of Tb4Pm19Dy6. It was derived from a DFT-relaxed cell (GGA-PBE, Alexandria), using Cu Kα (λ = 1.5418 Å).

Main lines, sorted by position (10° ≤ 2θ ≤ 90°):
(3 2 1), 2θ = 26.4°, rel. 49; (4 0 0), 2θ = 28.3°, rel. 56; (4 1 1), 2θ = 30.0°, rel. 100; (4 2 2), 2θ = 34.8°, rel. 38; (4 3 1), 2θ = 36.3°, rel. 72; (7 2 1), 2θ = 53.3°, rel. 25; (7 4 1), 2θ = 59.5°, rel. 28; (8 2 0), 2θ = 60.4°, rel. 24

Structural model:
```
data_Tb4Pm19Dy6
_space_group_name_H-M_alt 'I 2 3'
_space_group_IT_number 197
_space_group_name_Hall 'I 2 2 3'
_cell_length_a 12.630
_cell_length_b 12.630
_cell_length_c 12.630
_cell_angle_alpha 90.00
_cell_angle_beta 90.00
_cell_angle_gamma 90.00
loop_
_atom_site_label
_atom_site_type_symbol
_atom_site_fract_x
_atom_site_fract_y
_atom_site_fract_z
Tb1 Tb 0.181 0.181 0.181
Pm1 Pm 0.000 0.000 0.000
Pm2 Pm 0.000 0.000 0.259
Pm3 Pm 0.062 0.281 0.738
Dy1 Dy 0.000 0.125 0.500
```

---

The following is a computed XRD peak list of TbPm8Dy3. It was derived from a DFT-relaxed cell (GGA-PBE, Alexandria), using Cu Kα (λ = 1.5418 Å).

Main lines, sorted by position (10° ≤ 2θ ≤ 90°):
(1 2 2), 2θ = 28.2°, rel. 24; (0 2 -2), 2θ = 30.7°, rel. 25; (2 2 0), 2θ = 32.2°, rel. 100; (1 0 4), 2θ = 42.2°, rel. 13; (3 3 3), 2θ = 49.8°, rel. 13; (2 4 -2), 2θ = 55.5°, rel. 18; (3 1 5), 2θ = 59.7°, rel. 15; (-2 1 3), 2θ = 60.5°, rel. 11

Structural model:
```
data_TbPm8Dy3
_space_group_name_H-M_alt 'P 1'
_space_group_IT_number 1
_space_group_name_Hall 'P 1'
_cell_length_a 6.343
_cell_length_b 8.590
_cell_length_c 8.606
_cell_angle_alpha 85.15
_cell_angle_beta 68.40
_cell_angle_gamma 68.47
loop_
_atom_site_label
_atom_site_type_symbol
_atom_site_fract_x
_atom_site_fract_y
_atom_site_fract_z
Tb1 Tb 0.000 0.000 0.000
Pm1 Pm 0.331 0.166 0.166
Pm2 Pm 0.331 0.666 0.665
Pm3 Pm 0.661 0.334 0.335
Pm4 Pm 0.662 0.834 0.835
Pm5 Pm 0.666 0.414 0.914
Pm6 Pm 0.666 0.913 0.414
Pm7 Pm 0.997 0.082 0.583
Pm8 Pm 0.997 0.582 0.083
Dy1 Dy 0.000 0.500 0.500
Dy2 Dy 0.328 0.248 0.748
Dy3 Dy 0.328 0.748 0.249
```

---

The following is a computed XRD peak list of Tb5Pm2Dy6. It was derived from a DFT-relaxed cell (GGA-PBE, Alexandria), using Cu Kα (λ = 1.5418 Å).

Main lines, sorted by position (10° ≤ 2θ ≤ 90°):
(4 1 0), 2θ = 30.9°, rel. 60; (1 4 1), 2θ = 31.5°, rel. 48; (1 7 0), 2θ = 31.9°, rel. 98; (2 3 1), 2θ = 32.1°, rel. 100; (2 4 1), 2θ = 34.3°, rel. 40; (3 3 1), 2θ = 36.6°, rel. 31; (6 4 1), 2θ = 56.8°, rel. 32; (1 7 2), 2θ = 61.3°, rel. 35

Structural model:
```
data_Tb5Pm2Dy6
_space_group_name_H-M_alt 'P b a m'
_space_group_IT_number 55
_space_group_name_Hall '-P 2 2ab'
_cell_length_a 11.687
_cell_length_b 20.266
_cell_length_c 3.586
_cell_angle_alpha 90.00
_cell_angle_beta 90.00
_cell_angle_gamma 90.00
loop_
_atom_site_label
_atom_site_type_symbol
_atom_site_fract_x
_atom_site_fract_y
_atom_site_fract_z
Tb1 Tb 0.000 0.000 0.000
Tb2 Tb 0.090 0.277 0.000
Tb3 Tb 0.199 0.551 0.000
Pm1 Pm 0.169 0.714 0.500
Dy1 Dy 0.059 0.421 0.500
Dy2 Dy 0.080 0.133 0.500
Dy3 Dy 0.177 0.870 0.000
```

---

The following is a computed XRD peak list of Tb8Pm2Dy3. It was derived from a DFT-relaxed cell (GGA-PBE, Alexandria), using Cu Kα (λ = 1.5418 Å).

Main lines, sorted by position (10° ≤ 2θ ≤ 90°):
(1 1 -1), 2θ = 26.9°, rel. 30; (1 2 1), 2θ = 30.0°, rel. 70; (0 1 7), 2θ = 31.1°, rel. 56; (0 3 5), 2θ = 31.4°, rel. 54; (1 1 -4), 2θ = 31.7°, rel. 100; (0 4 3), 2θ = 33.1°, rel. 33; (1 3 -1), 2θ = 34.6°, rel. 72; (1 0 -6), 2θ = 36.5°, rel. 31

Structural model:
```
data_Tb8Pm2Dy3
_space_group_name_H-M_alt 'P 1 21/c 1'
_space_group_IT_number 14
_space_group_name_Hall '-P 2ybc'
_cell_length_a 3.511
_cell_length_b 11.747
_cell_length_c 20.741
_cell_angle_alpha 90.00
_cell_angle_beta 90.01
_cell_angle_gamma 90.00
loop_
_atom_site_label
_atom_site_type_symbol
_atom_site_fract_x
_atom_site_fract_y
_atom_site_fract_z
Tb1 Tb 0.000 0.046 0.071
Tb2 Tb 0.000 0.127 0.785
Tb3 Tb 0.499 0.052 0.342
Tb4 Tb 0.500 0.208 0.946
Pm1 Pm 0.001 0.180 0.599
Dy1 Dy 0.500 0.000 0.500
Dy2 Dy 0.500 0.145 0.201
```

---

The following is a computed XRD peak list of TbPmDyTl. It was derived from a DFT-relaxed cell (GGA-PBE, Alexandria), using Cu Kα (λ = 1.5418 Å).

Main lines, sorted by position (10° ≤ 2θ ≤ 90°):
(1 1 1), 2θ = 31.7°, rel. 100; (0 0 2), 2θ = 36.5°, rel. 17; (0 2 0), 2θ = 36.6°, rel. 17; (2 0 0), 2θ = 37.0°, rel. 16; (2 2 0), 2θ = 53.0°, rel. 24; (1 1 3), 2θ = 62.7°, rel. 14; (1 3 1), 2θ = 62.9°, rel. 14; (3 1 1), 2θ = 63.3°, rel. 14

Structural model:
```
data_TbPmDyTl
_space_group_name_H-M_alt 'P m m m'
_space_group_IT_number 47
_space_group_name_Hall '-P 2 2'
_cell_length_a 4.860
_cell_length_b 4.907
_cell_length_c 4.921
_cell_angle_alpha 90.00
_cell_angle_beta 90.00
_cell_angle_gamma 90.00
loop_
_atom_site_label
_atom_site_type_symbol
_atom_site_fract_x
_atom_site_fract_y
_atom_site_fract_z
Tb1 Tb 0.000 0.000 0.000
Pm1 Pm 0.500 0.500 0.000
Dy1 Dy 0.000 0.500 0.500
Tl1 Tl 0.500 0.000 0.500
```

---

The following is a computed XRD peak list of TbPmDy2Tm2. It was derived from a DFT-relaxed cell (GGA-PBE, Alexandria), using Cu Kα (λ = 1.5418 Å).

Main lines, sorted by position (10° ≤ 2θ ≤ 90°):
(2 2 0), 2θ = 29.3°, rel. 100; (0 6 0), 2θ = 30.2°, rel. 79; (0 3 1), 2θ = 30.4°, rel. 95; (1 2 1), 2θ = 31.5°, rel. 36; (2 4 0), 2θ = 34.2°, rel. 60; (1 4 1), 2θ = 36.1°, rel. 38; (2 3 1), 2θ = 41.4°, rel. 69; (2 4 2), 2θ = 65.7°, rel. 38

Structural model:
```
data_TbPmDy2Tm2
_space_group_name_H-M_alt 'P n n m'
_space_group_IT_number 58
_space_group_name_Hall '-P 2 2n'
_cell_length_a 6.503
_cell_length_b 17.741
_cell_length_c 3.382
_cell_angle_alpha 90.00
_cell_angle_beta 90.00
_cell_angle_gamma 90.00
loop_
_atom_site_label
_atom_site_type_symbol
_atom_site_fract_x
_atom_site_fract_y
_atom_site_fract_z
Tb1 Tb 0.000 0.000 0.000
Pm1 Pm 0.000 0.500 0.000
Dy1 Dy 0.224 0.313 0.000
Tm1 Tm 0.222 0.148 0.500
```

---

The following is a computed XRD peak list of Tb2PmDyTm6. It was derived from a DFT-relaxed cell (GGA-PBE, Alexandria), using Cu Kα (λ = 1.5418 Å).

Main lines, sorted by position (10° ≤ 2θ ≤ 90°):
(1 3 2), 2θ = 28.9°, rel. 35; (3 1 -1), 2θ = 31.0°, rel. 100; (1 5 0), 2θ = 31.6°, rel. 44; (2 2 2), 2θ = 31.8°, rel. 60; (2 4 -1), 2θ = 32.0°, rel. 33; (1 5 -1), 2θ = 32.7°, rel. 18; (1 3 -3), 2θ = 34.2°, rel. 47; (5 3 1), 2θ = 57.0°, rel. 14

Structural model:
```
data_Tb2PmDyTm6
_space_group_name_H-M_alt 'C 1 2/c 1'
_space_group_IT_number 15
_space_group_name_Hall '-C 2yc'
_cell_length_a 8.978
_cell_length_b 14.917
_cell_length_c 9.474
_cell_angle_alpha 90.00
_cell_angle_beta 97.53
_cell_angle_gamma 90.00
loop_
_atom_site_label
_atom_site_type_symbol
_atom_site_fract_x
_atom_site_fract_y
_atom_site_fract_z
Tb1 Tb 0.249 0.053 0.045
Pm1 Pm 0.000 0.024 0.750
Dy1 Dy 0.000 0.409 0.250
Tm1 Tm 0.064 0.189 0.442
Tm2 Tm 0.101 0.392 0.618
Tm3 Tm 0.205 0.226 0.817
```

---

The following is a computed XRD peak list of TbPm2Dy2Tm. It was derived from a DFT-relaxed cell (GGA-PBE, Alexandria), using Cu Kα (λ = 1.5418 Å).

Main lines, sorted by position (10° ≤ 2θ ≤ 90°):
(2 1 1), 2θ = 31.5°, rel. 92; (0 2 0), 2θ = 31.8°, rel. 100; (2 2 2), 2θ = 45.3°, rel. 34; (2 3 1), 2θ = 56.4°, rel. 35; (0 3 3), 2θ = 56.6°, rel. 19; (4 2 0), 2θ = 62.5°, rel. 29; (0 4 0), 2θ = 66.4°, rel. 12; (2 4 2), 2θ = 75.3°, rel. 15

Structural model:
```
data_TbPm2Dy2Tm
_space_group_name_H-M_alt 'P m m a'
_space_group_IT_number 51
_space_group_name_Hall '-P 2a 2a'
_cell_length_a 6.994
_cell_length_b 5.636
_cell_length_c 9.758
_cell_angle_alpha 90.00
_cell_angle_beta 90.00
_cell_angle_gamma 90.00
loop_
_atom_site_label
_atom_site_type_symbol
_atom_site_fract_x
_atom_site_fract_y
_atom_site_fract_z
Tb1 Tb 0.250 0.000 0.157
Pm1 Pm 0.000 0.000 0.500
Pm2 Pm 0.250 0.500 0.678
Dy1 Dy 0.250 0.000 0.830
Dy2 Dy 0.250 0.500 0.337
Tm1 Tm 0.000 0.500 0.000
```

---

The following is a computed XRD peak list of Tb2Pm2DyY4. It was derived from a DFT-relaxed cell (GGA-PBE, Alexandria), using Cu Kα (λ = 1.5418 Å).

Main lines, sorted by position (10° ≤ 2θ ≤ 90°):
(6 0 -1), 2θ = 28.7°, rel. 46; (0 0 3), 2θ = 31.0°, rel. 49; (3 1 -2), 2θ = 31.7°, rel. 100; (3 1 1), 2θ = 33.4°, rel. 89; (0 2 0), 2θ = 50.5°, rel. 37; (3 1 -5), 2θ = 54.5°, rel. 21; (3 1 4), 2θ = 57.8°, rel. 19; (9 1 1), 2θ = 60.5°, rel. 43

Structural model:
```
data_Tb2Pm2DyY4
_space_group_name_H-M_alt 'C 1 2/m 1'
_space_group_IT_number 12
_space_group_name_Hall '-C 2y'
_cell_length_a 18.762
_cell_length_b 3.615
_cell_length_c 9.607
_cell_angle_alpha 90.00
_cell_angle_beta 115.71
_cell_angle_gamma 90.00
loop_
_atom_site_label
_atom_site_type_symbol
_atom_site_fract_x
_atom_site_fract_y
_atom_site_fract_z
Tb1 Tb 0.148 0.000 0.165
Pm1 Pm 0.166 0.500 0.498
Dy1 Dy 0.000 0.000 0.500
Y1 Y 0.019 0.500 0.835
Y2 Y 0.186 0.000 0.834
```

---

The following is a computed XRD peak list of TbPm2Dy4Y2. It was derived from a DFT-relaxed cell (GGA-PBE, Alexandria), using Cu Kα (λ = 1.5418 Å).

Main lines, sorted by position (10° ≤ 2θ ≤ 90°):
(6 0 -1), 2θ = 28.8°, rel. 40; (0 0 3), 2θ = 31.1°, rel. 50; (3 1 -2), 2θ = 31.8°, rel. 100; (3 1 1), 2θ = 33.5°, rel. 90; (0 2 0), 2θ = 50.6°, rel. 38; (3 1 4), 2θ = 57.9°, rel. 19; (9 1 1), 2θ = 60.6°, rel. 44; (9 1 4), 2θ = 86.6°, rel. 18

Structural model:
```
data_TbPm2Dy4Y2
_space_group_name_H-M_alt 'C 1 2/m 1'
_space_group_IT_number 12
_space_group_name_Hall '-C 2y'
_cell_length_a 18.724
_cell_length_b 3.606
_cell_length_c 9.585
_cell_angle_alpha 90.00
_cell_angle_beta 115.74
_cell_angle_gamma 90.00
loop_
_atom_site_label
_atom_site_type_symbol
_atom_site_fract_x
_atom_site_fract_y
_atom_site_fract_z
Tb1 Tb 0.000 0.000 0.000
Pm1 Pm 0.166 0.500 0.001
Dy1 Dy 0.019 0.500 0.334
Dy2 Dy 0.185 0.000 0.335
Y1 Y 0.147 0.000 0.663
```